Entry 1:
For LiTm5Co4, a crystal structure in Alexandria, relaxed with PBE gives the computed PXRD pattern in this record (Cu Kα).
No peak broadening, texture or thermal motion is included.

Crystal structure
a b c (Å): 3.2988 3.2988 17.8106
angles (deg): 90.00 90.00 90.00
Atoms (fractional coordinates):
1 Li 0.0000 0.0000 0.0000
2 Tm 0.5000 0.5000 0.1336
3 Tm 0.5000 0.5000 0.3165
4 Tm 0.5000 0.5000 0.5000
5 Tm 0.5000 0.5000 0.6835
6 Tm 0.5000 0.5000 0.8664
7 Co 0.0000 0.0000 0.2190
8 Co 0.0000 0.0000 0.4075
9 Co 0.0000 0.0000 0.5925
10 Co 0.0000 0.0000 0.7810

Main lines, in order of rising 2θ (10 to 90 degrees two-theta):
- 27.03 deg, I = 53
- 37.15 deg, I = 100
- 38.60 deg, I = 74
- 40.90 deg, I = 52
- 55.73 deg, I = 25
- 68.89 deg, I = 32



Entry 2:
For ThAl4Cu2, a crystal structure in Alexandria, relaxed with PBE gives the computed PXRD pattern in this record (Cu Kα).
No peak broadening, texture or thermal motion is included.

Crystal structure
a b c (Å): 17.0504 4.1580 6.9113
angles (deg): 90.00 90.00 90.00
Atoms (fractional coordinates):
1 Th 0.1167 0.2500 0.0058
2 Th 0.3833 0.7500 0.5058
3 Th 0.6167 0.2500 0.4942
4 Th 0.8833 0.7500 0.9942
5 Al 0.0372 0.7500 0.7292
6 Al 0.0928 0.2500 0.5020
7 Al 0.1900 0.7500 0.3236
8 Al 0.1975 0.7500 0.7074
9 Al 0.3025 0.2500 0.2074
10 Al 0.3100 0.2500 0.8236
11 Al 0.4072 0.7500 0.0020
12 Al 0.4628 0.2500 0.2292
13 Al 0.5372 0.7500 0.7708
14 Al 0.5928 0.2500 0.9980
15 Al 0.6900 0.7500 0.1764
16 Al 0.6975 0.7500 0.7926
17 Al 0.8025 0.2500 0.2926
18 Al 0.8100 0.2500 0.6764
19 Al 0.9072 0.7500 0.4980
20 Al 0.9628 0.2500 0.2708
21 Cu 0.0403 0.7500 0.3050
22 Cu 0.2354 0.2500 0.5192
23 Cu 0.2646 0.7500 0.0192
24 Cu 0.4597 0.2500 0.8050
25 Cu 0.5403 0.7500 0.1950
26 Cu 0.7354 0.2500 0.9808
27 Cu 0.7646 0.7500 0.4808
28 Cu 0.9597 0.2500 0.6950

Main lines, in order of rising 2θ (10 to 90 degrees two-theta):
- 13.83 deg, I = 44
- 23.81 deg, I = 41
- 29.20 deg, I = 40
- 29.59 deg, I = 81
- 35.38 deg, I = 100
- 38.37 deg, I = 41



Entry 3:
For ErInRh, a crystal structure in Alexandria, relaxed with PBE gives the computed PXRD pattern in this record (Cu Kα).
No peak broadening, texture or thermal motion is included.

Crystal structure
a b c (Å): 7.5263 7.5263 3.8619
angles (deg): 90.00 90.00 120.00
Atoms (fractional coordinates):
1 Er 0.0000 0.5962 0.0000
2 Er 0.4038 0.4038 0.0000
3 Er 0.5962 0.0000 0.0000
4 In 0.0000 0.2596 0.5000
5 In 0.2596 0.0000 0.5000
6 In 0.7404 0.7404 0.5000
7 Rh 0.0000 0.0000 0.0000
8 Rh 0.3333 0.6667 0.5000
9 Rh 0.6667 0.3333 0.5000

Main lines, in order of rising 2θ (10 to 90 degrees two-theta):
- 33.24 deg, I = 100
- 36.06 deg, I = 78
- 36.47 deg, I = 43
- 41.57 deg, I = 36
- 47.06 deg, I = 22
- 67.13 deg, I = 29



Entry 4:
For Hf5Co3, a crystal structure in Alexandria, relaxed with PBE gives the computed PXRD pattern in this record (Cu Kα).
No peak broadening, texture or thermal motion is included.

Crystal structure
a b c (Å): 10.5590 7.1929 7.4794
angles (deg): 90.00 90.00 90.00
Atoms (fractional coordinates):
1 Hf 0.0139 0.2500 0.0369
2 Hf 0.0888 0.0459 0.6768
3 Hf 0.0888 0.4541 0.6768
4 Hf 0.2015 0.7500 0.3901
5 Hf 0.2279 0.2500 0.3354
6 Hf 0.2721 0.7500 0.8354
7 Hf 0.2985 0.2500 0.8901
8 Hf 0.4112 0.5459 0.1768
9 Hf 0.4112 0.9541 0.1768
10 Hf 0.4861 0.7500 0.5369
11 Hf 0.5139 0.2500 0.4631
12 Hf 0.5888 0.0459 0.8232
13 Hf 0.5888 0.4541 0.8232
14 Hf 0.7015 0.7500 0.1099
15 Hf 0.7279 0.2500 0.1646
16 Hf 0.7721 0.7500 0.6646
17 Hf 0.7985 0.2500 0.6099
18 Hf 0.9112 0.5459 0.3232
19 Hf 0.9112 0.9541 0.3232
20 Hf 0.9861 0.7500 0.9631
21 Co 0.0040 0.7500 0.5837
22 Co 0.1720 0.5339 0.0725
23 Co 0.1720 0.9661 0.0725
24 Co 0.3280 0.0339 0.5725
25 Co 0.3280 0.4661 0.5725
26 Co 0.4960 0.2500 0.0837
27 Co 0.5040 0.7500 0.9163
28 Co 0.6720 0.5339 0.4275
29 Co 0.6720 0.9661 0.4275
30 Co 0.8280 0.0339 0.9275
31 Co 0.8280 0.4661 0.9275
32 Co 0.9960 0.2500 0.4163

Main lines, in order of rising 2θ (10 to 90 degrees two-theta):
- 32.41 deg, I = 46
- 35.01 deg, I = 58
- 35.66 deg, I = 100
- 36.08 deg, I = 41
- 37.05 deg, I = 41
- 42.48 deg, I = 51



Entry 5:
For SrCaAgAu, a crystal structure in Alexandria, relaxed with PBE gives the computed PXRD pattern in this record (Cu Kα).
No peak broadening, texture or thermal motion is included.

Crystal structure
a b c (Å): 4.8181 6.1308 6.1308
angles (deg): 39.28 90.00 90.00
Atoms (fractional coordinates):
1 Sr 0.0000 0.0000 0.0000
2 Ca 0.5000 0.7207 0.7207
3 Ag 0.5000 0.4291 0.4291
4 Au 0.0000 0.2793 0.2793

Main lines, in order of rising 2θ (10 to 90 degrees two-theta):
- 15.35 deg, I = 38
- 22.91 deg, I = 53
- 29.55 deg, I = 81
- 36.27 deg, I = 48
- 37.00 deg, I = 100
- 37.33 deg, I = 35



Entry 6:
For BSb, a crystal structure in Alexandria, relaxed with PBE gives the computed PXRD pattern in this record (Cu Kα).
No peak broadening, texture or thermal motion is included.

Crystal structure
a b c (Å): 3.0871 3.6388 6.9755
angles (deg): 90.00 102.77 90.00
Atoms (fractional coordinates):
1 B 0.2267 0.0000 0.4531
2 B 0.7733 0.0000 0.5469
3 Sb 0.1183 0.5000 0.2275
4 Sb 0.8817 0.5000 0.7725

Main lines, in order of rising 2θ (10 to 90 degrees two-theta):
- 24.46 deg, I = 100
- 26.20 deg, I = 80
- 29.67 deg, I = 84
- 36.15 deg, I = 87
- 38.82 deg, I = 77
- 51.32 deg, I = 55